Record 1
Starting from a crystal structure in Alexandria, relaxed with PBE, the X-ray diffraction stick pattern of Dy2Si3GeIr4 was calculated for a wavelength of 1.5418 Å.

Crystal structure
abc: 4.155 4.155 9.914
angles: 90.00 90.00 90.00
Atoms (fractional coordinates):
Dy 0.000 0.500 0.247
Dy 0.500 0.000 0.753
Si 0.000 0.000 0.000
Si 0.000 0.500 0.630
Si 0.500 0.000 0.370
Ge 0.500 0.500 0.000
Ir 0.000 0.000 0.500
Ir 0.000 0.500 0.867
Ir 0.500 0.000 0.133
Ir 0.500 0.500 0.500

The 12 most intense peaks (15° ≤ 2θ ≤ 90°), by angle:
two_theta	Rel. int.
26.98	21.3
28.02	25.0
31.76	45.6
34.68	50.9
35.52	100.0
43.56	61.1
48.02	21.0
51.04	24.1
56.84	24.8
63.30	20.3
69.30	19.4
74.74	23.2

---

Record 2
Starting from a crystal structure in Alexandria, relaxed with PBE, the X-ray diffraction stick pattern of DyYGeIr was calculated for a wavelength of 1.5418 Å.

Crystal structure
abc: 4.116 4.106 10.619
angles: 90.00 90.00 90.00
Atoms (fractional coordinates):
Dy 0.000 0.000 0.000
Dy 0.000 0.500 0.500
Y 0.500 0.000 0.719
Y 0.500 0.500 0.219
Ge 0.500 0.000 0.432
Ge 0.500 0.500 0.932
Ir 0.000 0.000 0.279
Ir 0.000 0.500 0.779

The 12 most intense peaks (15° ≤ 2θ ≤ 90°), by angle:
two_theta	Rel. int.
21.59	20.4
23.23	18.6
31.92	100.0
33.42	34.7
33.76	26.1
40.14	76.2
40.43	33.1
44.00	26.2
44.11	26.1
56.63	30.7
61.37	19.5
64.07	17.1

---

Record 3
Starting from a crystal structure in Alexandria, relaxed with PBE, the X-ray diffraction stick pattern of K2DyGeO4 was calculated for a wavelength of 1.5418 Å.

Crystal structure
abc: 5.892 5.892 9.115
angles: 90.00 90.00 90.00
Atoms (fractional coordinates):
K 0.000 0.000 0.000
K 0.000 0.500 0.250
K 0.500 0.000 0.750
K 0.500 0.500 0.500
Dy 0.000 0.000 0.500
Dy 0.500 0.500 0.000
Ge 0.000 0.500 0.750
Ge 0.500 0.000 0.250
O 0.130 0.727 0.636
O 0.227 0.370 0.864
O 0.273 0.130 0.364
O 0.370 0.773 0.136
O 0.630 0.227 0.136
O 0.727 0.870 0.364
O 0.773 0.630 0.864
O 0.870 0.273 0.636

The 12 most intense peaks (15° ≤ 2θ ≤ 90°), by angle:
two_theta	Rel. int.
17.93	61.5
29.04	100.0
30.34	34.1
35.46	14.1
43.44	16.1
45.57	12.5
50.65	23.5
53.11	33.8
60.19	11.3
65.39	8.9
81.81	9.7
86.99	8.3